Structure and calculated PXRD pattern of RbPuReO6 (the GGA-PBE geometry in Alexandria; a wavelength of 1.5418 Å).
Lines closer than 0.1° are merged.

Structure:
```
18
Lattice="-3.724 3.868 5.405 3.724 -3.868 5.405 3.724 3.868 -5.405" Properties=species:S:1:pos:R:3 pbc="T T T"
Rb 0.000 1.934 1.323
Rb 3.724 1.934 4.082
Pu 3.724 0.000 0.000
Pu 0.000 0.000 5.405
Re 1.862 1.934 -2.703
Re 1.862 -1.934 2.703
O 3.724 -1.934 3.137
O 2.162 -0.580 1.393
O 5.286 -0.580 1.393
O 2.162 3.288 -1.393
O 1.562 -0.580 4.012
O 3.724 1.934 0.835
O 0.000 1.934 4.571
O 2.162 4.448 1.393
O 1.562 0.580 6.798
O -1.562 4.448 4.012
O 1.562 4.448 4.012
O 0.000 5.802 2.268
```

Most intense lines, 10 to 80 degrees two-theta, in order of falling intensity:
2θ/deg, d (Å), I_rel
27.3, 3.270, 100
14.4, 6.133, 69
28.4, 3.146, 67
29.1, 3.067, 62
47.8, 1.904, 53
27.8, 3.205, 53
14.1, 6.291, 48
27.5, 3.244, 35
56.2, 1.636, 20
57.5, 1.602, 19
33.4, 2.683, 17
44.1, 2.051, 17